1.
Starting from a PBE-relaxed structure, the X-ray diffraction stick pattern of PrSm2HoMg was computed for Cu Kα.
Kinematic intensities with the Lorentz-polarization factor, no thermal factor.

Cell and atoms:
a = 6.225 Å, b = 5.677 Å, c = 9.491 Å
α = 90.00°, β = 108.73°, γ = 90.00°
Positions (direct):
Pr 0.035 0.250 0.389
Pr 0.965 0.750 0.611
Sm 0.376 0.750 0.392
Sm 0.452 0.250 0.200
Sm 0.548 0.750 0.800
Sm 0.624 0.250 0.608
Ho 0.162 0.750 0.998
Ho 0.838 0.250 0.002
Mg 0.228 0.250 0.810
Mg 0.772 0.750 0.190

The 10 most intense peaks (2θ = 15–90°), by angle:
2θ 21.7, rel. 12
2θ 28.6, rel. 13
2θ 28.7, rel. 22
2θ 31.5, rel. 37
2θ 32.8, rel. 100
2θ 32.9, rel. 47
2θ 43.1, rel. 15
2θ 50.6, rel. 11
2θ 57.0, rel. 21
2θ 60.9, rel. 11

2.
Starting from a PBE-relaxed structure, the X-ray diffraction stick pattern of NaLiIn was computed for Cu Kα.
Kinematic intensities with the Lorentz-polarization factor, no thermal factor.

Cell and atoms:
a = 4.696 Å, b = 4.696 Å, c = 8.486 Å
α = 107.18°, β = 107.18°, γ = 64.70°
Positions (direct):
Na 0.222 0.222 0.116
Na 0.778 0.778 0.884
Li 0.349 0.349 0.547
Li 0.651 0.651 0.453
In 0.055 0.055 0.684
In 0.945 0.945 0.316

The 10 most intense peaks (2θ = 15–90°), by angle:
2θ 21.3, rel. 100
2θ 22.1, rel. 26
2θ 22.4, rel. 19
2θ 22.6, rel. 45
2θ 34.0, rel. 22
2θ 34.1, rel. 43
2θ 35.7, rel. 23
2θ 36.4, rel. 36
2θ 38.5, rel. 50
2θ 42.7, rel. 17

Repeat the second record exactly.
Starting from a PBE-relaxed structure, the X-ray diffraction stick pattern of NaLiIn was computed for Cu Kα.
Kinematic intensities with the Lorentz-polarization factor, no thermal factor.

Cell and atoms:
a = 4.696 Å, b = 4.696 Å, c = 8.486 Å
α = 107.18°, β = 107.18°, γ = 64.70°
Positions (direct):
Na 0.222 0.222 0.116
Na 0.778 0.778 0.884
Li 0.349 0.349 0.547
Li 0.651 0.651 0.453
In 0.055 0.055 0.684
In 0.945 0.945 0.316

The 10 most intense peaks (2θ = 15–90°), by angle:
2θ 21.3, rel. 100
2θ 22.1, rel. 26
2θ 22.4, rel. 19
2θ 22.6, rel. 45
2θ 34.0, rel. 22
2θ 34.1, rel. 43
2θ 35.7, rel. 23
2θ 36.4, rel. 36
2θ 38.5, rel. 50
2θ 42.7, rel. 17

Q: What is the formula in the second record?
A: NaLiIn

Please write out number 1 again, unchanged.
Starting from a PBE-relaxed structure, the X-ray diffraction stick pattern of PrSm2HoMg was computed for Cu Kα.
Kinematic intensities with the Lorentz-polarization factor, no thermal factor.

Cell and atoms:
a = 6.225 Å, b = 5.677 Å, c = 9.491 Å
α = 90.00°, β = 108.73°, γ = 90.00°
Positions (direct):
Pr 0.035 0.250 0.389
Pr 0.965 0.750 0.611
Sm 0.376 0.750 0.392
Sm 0.452 0.250 0.200
Sm 0.548 0.750 0.800
Sm 0.624 0.250 0.608
Ho 0.162 0.750 0.998
Ho 0.838 0.250 0.002
Mg 0.228 0.250 0.810
Mg 0.772 0.750 0.190

The 10 most intense peaks (2θ = 15–90°), by angle:
2θ 21.7, rel. 12
2θ 28.6, rel. 13
2θ 28.7, rel. 22
2θ 31.5, rel. 37
2θ 32.8, rel. 100
2θ 32.9, rel. 47
2θ 43.1, rel. 15
2θ 50.6, rel. 11
2θ 57.0, rel. 21
2θ 60.9, rel. 11